Diffraction record for Ac2MgSnPt. The XRD peak list is computed, not measured: it uses a structure optimized by DFT (GGA-PBE) and Cu Kα X-rays.
Peak positions follow from Bragg's law for the DFT cell and can differ from measured ones.

Cell and atoms:
Cell lengths 8.209, 4.706, 8.235 Å; angles 90.00, 109.57, 90.00 degrees
Fractional positions:
Ac 0.101 0.250 0.334
Ac 0.291 0.250 0.964
Ac 0.709 0.750 0.036
Ac 0.899 0.750 0.666
Mg 0.440 0.750 0.337
Mg 0.560 0.250 0.663
Sn 0.331 0.750 0.657
Sn 0.669 0.250 0.343
Pt 0.117 0.750 0.092
Pt 0.883 0.250 0.908

Peak list (8 most intense, 15 to 90 degrees two-theta, in order of rising 2θ)
29.1 deg, I = 98, hkl 2 0 1
29.1 deg, I = 73, hkl 2 1 -1
29.8 deg, I = 100, hkl 0 1 2
32.8 deg, I = 60, hkl 2 1 -2
34.7 deg, I = 32, hkl 0 0 3
34.9 deg, I = 41, hkl 2 1 1
38.0 deg, I = 55, hkl 3 1 -1
38.3 deg, I = 52, hkl 0 2 0